Record 1
This entry pairs a crystal structure of CsNaAc2S4 with its theoretical powder X-ray diffraction pattern. Radiation: a wavelength of 1.5418 Å. Structure: the GGA-PBE geometry in Alexandria.
Neutral-atom scattering factors, no anomalous dispersion.

Main lines, in order of rising 2θ (2θ from 10° to 90°):
h k l  2theta  d (Å)  Rel. int.
0 0 2  11.43  7.742  30
0 2 3  20.98  4.234  100
1 1 2  23.65  3.761  49
0 4 0  24.04  3.703  36
1 3 1  27.44  3.251  42
1 3 2  29.23  3.055  57
1 1 5  35.72  2.514  35
1 3 5  39.78  2.266  31
0 6 3  40.47  2.229  52
2 2 3  45.68  1.986  27

```
data_CsNaAc2S4
_cell_length_a 4.497
_cell_length_b 14.810
_cell_length_c 15.483
_cell_angle_alpha 90.00
_cell_angle_beta 90.00
_cell_angle_gamma 90.00
_space_group_name_H-M_alt 'C m c m'
_space_group_IT_number 63
_space_group_name_Hall '-C 2c 2'
loop_
_atom_site_label
_atom_site_fract_x
_atom_site_fract_y
_atom_site_fract_z
Cs1 0.000 0.105 0.250
Na1 0.000 0.174 0.750
Ac1 0.000 0.368 0.060
S1 0.000 0.000 0.000
S2 0.000 0.258 0.599
S3 0.000 0.421 0.250
```

Record 2
This entry pairs a crystal structure of CsNaAcTe2 with its theoretical powder X-ray diffraction pattern. Radiation: a wavelength of 1.5418 Å. Structure: the GGA-PBE geometry in Alexandria.
Neutral-atom scattering factors, no anomalous dispersion.

Main lines, in order of rising 2θ (2θ from 10° to 90°):
h k l  2theta  d (Å)  Rel. int.
0 0 1  11.39  7.769  56
0 2 1  15.32  5.783  50
1 3 1  22.77  3.905  100
0 2 2  25.12  3.544  52
2 2 0  26.66  3.344  33
2 2 1  29.07  3.072  30
0 4 2  30.87  2.896  67
2 0 2  33.82  2.650  58
0 8 0  41.69  2.167  32
2 8 2  54.72  1.677  39

```
data_CsNaAcTe2
_cell_length_a 7.251
_cell_length_b 17.322
_cell_length_c 7.769
_cell_angle_alpha 90.00
_cell_angle_beta 90.00
_cell_angle_gamma 90.00
_space_group_name_H-M_alt 'C m m e'
_space_group_IT_number 67
_space_group_name_Hall '-C 2a 2'
loop_
_atom_site_label
_atom_site_fract_x
_atom_site_fract_y
_atom_site_fract_z
Cs1 0.000 0.250 0.241
Na1 0.000 0.000 0.000
Ac1 0.250 0.000 0.500
Te1 0.000 0.122 0.729
```

Record 3
This entry pairs a crystal structure of Cs2AcNb2O7 with its theoretical powder X-ray diffraction pattern. Radiation: a wavelength of 1.5418 Å. Structure: the GGA-PBE geometry in Alexandria.
Neutral-atom scattering factors, no anomalous dispersion.

Main lines, in order of rising 2θ (2θ from 10° to 90°):
h k l  2theta  d (Å)  Rel. int.
1 0 5  28.36  3.147  100
1 1 0  30.59  2.922  48
1 0 7  33.75  2.656  9
0 0 10  37.05  2.427  10
1 1 6  37.99  2.369  13
2 0 0  43.81  2.067  25
1 1 10  48.78  1.867  18
2 1 5  53.01  1.727  36
2 0 10  58.68  1.573  11
3 2 5  87.42  1.116  9

```
data_Cs2AcNb2O7
_cell_length_a 4.133
_cell_length_b 4.133
_cell_length_c 24.267
_cell_angle_alpha 90.00
_cell_angle_beta 90.00
_cell_angle_gamma 90.00
_space_group_name_H-M_alt 'I 4/m m m'
_space_group_IT_number 139
_space_group_name_Hall '-I 4 2'
loop_
_atom_site_label
_atom_site_fract_x
_atom_site_fract_y
_atom_site_fract_z
Cs1 0.000 0.000 0.188
Ac1 0.000 0.000 0.000
Nb1 0.000 0.000 0.412
O1 0.000 0.000 0.335
O2 0.000 0.000 0.500
O3 0.000 0.500 0.076
```

Record 4
This entry pairs a crystal structure of CsAcNbO4 with its theoretical powder X-ray diffraction pattern. Radiation: a wavelength of 1.5418 Å. Structure: the GGA-PBE geometry in Alexandria.
Neutral-atom scattering factors, no anomalous dispersion.

Main lines, in order of rising 2θ (2θ from 10° to 90°):
h k l  2theta  d (Å)  Rel. int.
0 0 1  11.36  7.788  100
1 1 0  19.76  4.492  84
1 0 1  20.93  4.245  44
0 0 2  22.84  3.894  37
1 1 -2  26.45  3.370  87
0 1 2  26.78  3.329  58
0 2 0  27.81  3.208  85
2 1 -1  30.21  2.958  83
2 1 -2  33.08  2.708  39
1 1 2  33.90  2.645  53

```
data_CsAcNbO4
_cell_length_a 6.681
_cell_length_b 6.415
_cell_length_c 8.270
_cell_angle_alpha 90.00
_cell_angle_beta 109.67
_cell_angle_gamma 90.00
_space_group_name_H-M_alt 'P 1 21/m 1'
_space_group_IT_number 11
loop_
_space_group_symop_operation_xyz
'x,y,z'
'-x,-y,-z'
'-x,y+1/2,-z'
'x,-y+1/2,z'
loop_
_atom_site_label
_atom_site_fract_x
_atom_site_fract_y
_atom_site_fract_z
Cs1 0.177 0.250 0.438
Ac1 0.308 0.250 0.968
Nb1 0.238 0.750 0.159
O1 0.041 0.750 0.940
O2 0.063 0.750 0.298
O3 0.469 0.537 0.170
```

Record 5
This entry pairs a crystal structure of Cs4AcNd3Se8 with its theoretical powder X-ray diffraction pattern. Radiation: a wavelength of 1.5418 Å. Structure: the GGA-PBE geometry in Alexandria.
Neutral-atom scattering factors, no anomalous dispersion.

Main lines, in order of rising 2θ (2θ from 10° to 90°):
h k l  2theta  d (Å)  Rel. int.
0 0 3  10.51  8.418  12
2 0 2  24.07  3.698  13
0 2 4  27.04  3.298  100
2 0 8  36.75  2.445  34
2 2 0  40.40  2.233  37
2 0 11  46.00  1.973  12
4 0 4  49.29  1.849  19
0 4 8  55.75  1.649  10
2 2 12  60.45  1.531  11
2 4 4  65.56  1.424  16

```
data_Cs4AcNd3Se8
_cell_length_a 8.9308
_cell_length_b 8.9308
_cell_length_c 25.2546
_cell_angle_alpha 90.00
_cell_angle_beta 90.00
_cell_angle_gamma 120.00
_space_group_name_H-M_alt 'R -3 m'
_space_group_IT_number 166
_space_group_name_Hall '-R 3 2"'
loop_
_atom_site_label
_atom_site_fract_x
_atom_site_fract_y
_atom_site_fract_z
Cs1 0.0000 0.0000 0.0000
Cs2 0.0000 0.5000 0.0000
Ac1 0.0000 0.0000 0.5000
Nd1 0.0000 0.5000 0.5000
Se1 0.0000 0.0000 0.2298
Se2 0.0099 0.5050 0.7692
```

Record 6
This entry pairs a crystal structure of CsAcNp2O7 with its theoretical powder X-ray diffraction pattern. Radiation: a wavelength of 1.5418 Å. Structure: the GGA-PBE geometry in Alexandria.
Neutral-atom scattering factors, no anomalous dispersion.

Main lines, in order of rising 2θ (2θ from 10° to 90°):
h k l  2theta  d (Å)  Rel. int.
1 0 2  25.87  3.443  100
1 1 0  29.19  3.059  50
1 0 3  31.38  2.851  31
1 0 4  37.83  2.378  12
2 0 0  41.76  2.163  26
1 1 4  43.44  2.083  10
2 1 2  49.78  1.832  35
1 1 5  49.96  1.826  12
2 1 3  53.16  1.723  17
2 1 8  84.57  1.146  10

```
data_CsAcNp2O7
_cell_length_a 4.326
_cell_length_b 4.326
_cell_length_c 11.377
_cell_angle_alpha 90.00
_cell_angle_beta 90.00
_cell_angle_gamma 90.00
_space_group_name_H-M_alt 'P 4/m m m'
_space_group_IT_number 123
_space_group_name_Hall '-P 4 2'
loop_
_atom_site_label
_atom_site_fract_x
_atom_site_fract_y
_atom_site_fract_z
Cs1 0.000 0.000 0.000
Ac1 0.000 0.000 0.500
Np1 0.500 0.500 0.309
O1 0.000 0.500 0.349
O2 0.500 0.500 0.141
O3 0.500 0.500 0.500
```

Record 7
This entry pairs a crystal structure of Cs2AcNpS4 with its theoretical powder X-ray diffraction pattern. Radiation: a wavelength of 1.5418 Å. Structure: the GGA-PBE geometry in Alexandria.
Neutral-atom scattering factors, no anomalous dispersion.

Main lines, in order of rising 2θ (2θ from 10° to 90°):
h k l  2theta  d (Å)  Rel. int.
0 0 1  10.93  8.095  24
0 0 2  21.96  4.048  33
2 0 0  24.74  3.599  22
1 1 -1  24.85  3.583  43
1 1 1  27.93  3.194  100
2 0 2  38.04  2.365  13
1 1 -3  38.15  2.359  26
3 1 -1  41.58  2.172  23
1 1 3  44.42  2.039  19
3 1 1  47.51  1.914  18

```
data_Cs2AcNpS4
_cell_length_a 7.533
_cell_length_b 4.326
_cell_length_c 8.472
_cell_angle_alpha 90.00
_cell_angle_beta 107.15
_cell_angle_gamma 90.00
_space_group_name_H-M_alt 'P 1 2/m 1'
_space_group_IT_number 10
loop_
_space_group_symop_operation_xyz
'x,y,z'
'-x,-y,-z'
'-x,y,-z'
'x,-y,z'
loop_
_atom_site_label
_atom_site_fract_x
_atom_site_fract_y
_atom_site_fract_z
Cs1 0.000 0.000 0.000
Cs2 0.500 0.500 0.000
Ac1 0.000 0.500 0.500
Np1 0.500 0.000 0.500
S1 0.244 0.000 0.690
S2 0.288 0.500 0.318
```

Record 8
This entry pairs a crystal structure of Cs14Ac2O9 with its theoretical powder X-ray diffraction pattern. Radiation: a wavelength of 1.5418 Å. Structure: the GGA-PBE geometry in Alexandria.
Neutral-atom scattering factors, no anomalous dispersion.

Main lines, in order of rising 2θ (2θ from 10° to 90°):
h k l  2theta  d (Å)  Rel. int.
2 0 1  24.07  3.697  29
1 1 2  24.80  3.590  100
0 1 3  25.10  3.548  27
3 -1 1  31.34  2.854  46
3 0 0  34.61  2.592  29
2 -1 4  36.09  2.489  43
3 1 3  47.96  1.897  17
1 2 5  49.10  1.855  14
2 3 1  51.82  1.764  12
0 4 3  52.35  1.748  15

```
data_Cs14Ac2O9
_cell_length_a 8.9784
_cell_length_b 8.9784
_cell_length_c 11.9623
_cell_angle_alpha 90.00
_cell_angle_beta 90.00
_cell_angle_gamma 120.00
_space_group_name_H-M_alt 'P -3'
_space_group_IT_number 147
loop_
_space_group_symop_operation_xyz
'x,y,z'
'-x,-y,-z'
'-y,x-y,z'
'y,-x+y,-z'
'-x+y,-x,z'
'x-y,x,-z'
loop_
_atom_site_label
_atom_site_fract_x
_atom_site_fract_y
_atom_site_fract_z
Cs1 0.0000 0.0000 0.2453
Cs2 0.0581 0.6835 0.9076
Cs3 0.0959 0.3842 0.5890
Ac1 0.3333 0.6667 0.2682
O1 0.0000 0.0000 0.0000
O2 0.1286 0.3835 0.3373
O3 0.3333 0.6667 0.0681
```